# 1
Diffraction record for PrNd8Sm4. The X-ray powder pattern is calculated, not measured: it uses a DFT-relaxed cell (GGA-PBE, Alexandria) and a wavelength of 1.5418 Å.
Intensities are scaled so that the largest is 100.

Crystal structure
Cell: 7.917 7.917 7.917 Å, 97.47 97.47 97.47°
Fractional coordinates of all 13 atoms:
Pr (0.000, 0.000, 0.000)
Nd (0.170, 0.666, 0.666)
Nd (0.258, 0.258, 0.258)
Nd (0.334, 0.334, 0.830)
Nd (0.334, 0.830, 0.334)
Nd (0.666, 0.170, 0.666)
Nd (0.666, 0.666, 0.170)
Nd (0.742, 0.742, 0.742)
Nd (0.830, 0.334, 0.334)
Sm (0.000, 0.000, 0.500)
Sm (0.000, 0.500, 0.000)
Sm (0.500, 0.000, 0.000)
Sm (0.500, 0.500, 0.500)

The 10 most intense peaks (15 to 90 degrees two-theta), in order of rising 2θ:
- 2θ = 22.62°, I = 31
- 2θ = 27.18°, I = 16
- 2θ = 30.03°, I = 100
- 2θ = 37.92°, I = 49
- 2θ = 53.33°, I = 20
- 2θ = 56.07°, I = 17
- 2θ = 58.65°, I = 14
- 2θ = 62.42°, I = 12
- 2θ = 67.29°, I = 9
- 2θ = 86.55°, I = 10

---

# 2
Diffraction record for PrNd3Sm6. The X-ray powder pattern is calculated, not measured: it uses a DFT-relaxed cell (GGA-PBE, Alexandria) and a wavelength of 1.5418 Å.
Intensities are scaled so that the largest is 100.

Crystal structure
Cell: 7.045 7.045 7.045 Å, 91.30 91.30 91.30°
Fractional coordinates of all 10 atoms:
Pr (0.000, 0.000, 0.000)
Nd (0.251, 0.251, 0.251)
Nd (0.500, 0.500, 0.500)
Nd (0.749, 0.749, 0.749)
Sm (0.000, 0.326, 0.674)
Sm (0.174, 0.826, 0.500)
Sm (0.326, 0.674, 0.000)
Sm (0.500, 0.174, 0.826)
Sm (0.674, 0.000, 0.326)
Sm (0.826, 0.500, 0.174)

The 10 most intense peaks (15 to 90 degrees two-theta), in order of rising 2θ:
- 2θ = 28.61°, I = 67
- 2θ = 30.74°, I = 100
- 2θ = 31.72°, I = 15
- 2θ = 40.81°, I = 14
- 2θ = 42.49°, I = 23
- 2θ = 48.45°, I = 11
- 2θ = 53.35°, I = 23
- 2θ = 54.66°, I = 19
- 2θ = 56.05°, I = 13
- 2θ = 64.03°, I = 12

---

# 3
Diffraction record for PrNd12Sm7. The X-ray powder pattern is calculated, not measured: it uses a DFT-relaxed cell (GGA-PBE, Alexandria) and a wavelength of 1.5418 Å.
Intensities are scaled so that the largest is 100.

Crystal structure
Cell: 9.519 9.519 9.519 Å, 107.79 107.79 107.79°
Fractional coordinates of all 20 atoms:
Pr (0.000, 0.000, 0.000)
Nd (0.050, 0.407, 0.297)
Nd (0.224, 0.379, 0.671)
Nd (0.297, 0.050, 0.407)
Nd (0.329, 0.776, 0.621)
Nd (0.379, 0.671, 0.224)
Nd (0.407, 0.297, 0.050)
Nd (0.593, 0.703, 0.950)
Nd (0.621, 0.329, 0.776)
Nd (0.671, 0.224, 0.379)
Nd (0.703, 0.950, 0.593)
Nd (0.776, 0.621, 0.329)
Nd (0.950, 0.593, 0.703)
Sm (0.008, 0.322, 0.893)
Sm (0.107, 0.992, 0.678)
Sm (0.322, 0.893, 0.008)
Sm (0.500, 0.500, 0.500)
Sm (0.678, 0.107, 0.992)
Sm (0.893, 0.008, 0.322)
Sm (0.992, 0.678, 0.107)

The 10 most intense peaks (15 to 90 degrees two-theta), in order of rising 2θ:
- 2θ = 28.51°, I = 37
- 2θ = 29.78°, I = 18
- 2θ = 30.76°, I = 100
- 2θ = 33.01°, I = 41
- 2θ = 35.07°, I = 30
- 2θ = 40.70°, I = 10
- 2θ = 50.39°, I = 17
- 2θ = 54.71°, I = 17
- 2θ = 58.87°, I = 9
- 2θ = 62.96°, I = 17